Entry 1:
Starting from a crystal structure in the Materials Project, relaxed with GGA-PBE, the X-ray diffraction stick pattern of Nd4Al2O9 was simulated for Cu Kα, 1.54184 Å.

Most intense lines, 10° ≤ 2θ ≤ 90°, in order of rising 2θ:
- (0 1 1), d = 7.692 Å, rel. 22
- (0 1 2), d = 4.845 Å, rel. 30
- (0 1 3), d = 3.421 Å, rel. 19
- (2 2 -1), d = 3.175 Å, rel. 100
- (2 1 1), d = 3.049 Å, rel. 18
- (0 3 2), d = 3.025 Å, rel. 42
- (0 2 3), d = 3.009 Å, rel. 56
- (2 0 2), d = 2.656 Å, rel. 19
- (0 1 5), d = 2.120 Å, rel. 16
- (4 0 -2), d = 1.948 Å, rel. 19
- (2 4 2), d = 1.907 Å, rel. 15
- (2 4 -4), d = 1.898 Å, rel. 15

Structure:
```
data_Nd4Al2O9
_chemical_formula_sum 'Nd16 Al8 O36'
_symmetry_space_group_name_H-M 'P 1 21/c 1'
_symmetry_Int_Tables_number 14
_cell_length_a 7.792
_cell_length_b 10.954
_cell_length_c 11.451
_cell_angle_alpha 90.00
_cell_angle_beta 109.36
_cell_angle_gamma 90.00
loop_
_symmetry_equiv_pos_as_xyz
'x,y,z'
'-x,-y,-z'
'-x,y+1/2,-z+1/2'
'x,-y+1/2,z+1/2'
loop_
_atom_site_label
_atom_site_type_symbol
_atom_site_fract_x
_atom_site_fract_y
_atom_site_fract_z
Nd1 Nd 0.024 0.101 0.288
Nd2 Nd 0.166 0.624 0.571
Nd3 Nd 0.336 0.123 0.913
Nd4 Nd 0.474 0.586 0.190
Al1 Al 0.152 0.189 0.619
Al2 Al 0.276 0.691 0.871
O1 O 0.066 0.742 0.883
O2 O 0.068 0.009 0.897
O3 O 0.141 0.228 0.468
O4 O 0.201 0.037 0.673
O5 O 0.268 0.724 0.236
O6 O 0.282 0.535 0.834
O7 O 0.283 0.222 0.247
O8 O 0.420 0.734 0.019
O9 O 0.424 0.004 0.106
```


Entry 2:
Starting from a crystal structure in the Materials Project, relaxed with GGA-PBE, the X-ray diffraction stick pattern of NbO was simulated for Cu Kα, 1.54184 Å.

Most intense lines, 10° ≤ 2θ ≤ 90°, in order of rising 2θ:
- (0 0 1), d = 3.887 Å, rel. 50
- (1 0 0), d = 2.922 Å, rel. 100
- (1 0 1), d = 2.335 Å, rel. 52
- (1 1 0), d = 2.066 Å, rel. 35
- (0 0 2), d = 1.943 Å, rel. 14
- (1 1 1), d = 1.824 Å, rel. 25
- (1 0 2), d = 1.618 Å, rel. 31
- (2 0 0), d = 1.461 Å, rel. 11
- (1 1 2), d = 1.416 Å, rel. 19
- (2 0 1), d = 1.367 Å, rel. 10
- (2 1 0), d = 1.307 Å, rel. 14
- (2 1 1), d = 1.239 Å, rel. 14

Structure:
```
data_NbO
_chemical_formula_sum 'Nb1 O1'
_symmetry_space_group_name_H-M 'P 4/m m m'
_symmetry_Int_Tables_number 123
_symmetry_space_group_name_Hall '-P 4 2'
_cell_length_a 2.922
_cell_length_b 2.922
_cell_length_c 3.887
_cell_angle_alpha 90.00
_cell_angle_beta 90.00
_cell_angle_gamma 90.00
loop_
_atom_site_label
_atom_site_type_symbol
_atom_site_fract_x
_atom_site_fract_y
_atom_site_fract_z
Nb1 Nb 0.000 0.000 0.000
O1 O 0.000 0.000 0.500
```


Entry 3:
Starting from a crystal structure in the Materials Project, relaxed with GGA-PBE, the X-ray diffraction stick pattern of K3Sr was simulated for Cu Kα, 1.54184 Å.

Most intense lines, 10° ≤ 2θ ≤ 90°, in order of rising 2θ:
- (1 0 1), d = 5.759 Å, rel. 12
- (1 1 2), d = 3.754 Å, rel. 100
- (0 0 4), d = 3.424 Å, rel. 20
- (2 0 0), d = 3.173 Å, rel. 32
- (2 0 4), d = 2.328 Å, rel. 26
- (2 2 0), d = 2.244 Å, rel. 11
- (1 1 6), d = 2.035 Å, rel. 17
- (3 1 2), d = 1.926 Å, rel. 28
- (2 2 4), d = 1.877 Å, rel. 13
- (3 1 6), d = 1.507 Å, rel. 18
- (4 2 4), d = 1.311 Å, rel. 11
- (5 1 6), d = 1.093 Å, rel. 8

Structure:
```
data_K3Sr
_chemical_formula_sum 'K6 Sr2'
_symmetry_space_group_name_H-M 'I 4/m m m'
_symmetry_Int_Tables_number 139
_symmetry_space_group_name_Hall '-I 4 2'
_cell_length_a 6.347
_cell_length_b 6.347
_cell_length_c 13.697
_cell_angle_alpha 90.00
_cell_angle_beta 90.00
_cell_angle_gamma 90.00
loop_
_atom_site_label
_atom_site_type_symbol
_atom_site_fract_x
_atom_site_fract_y
_atom_site_fract_z
K1 K 0.000 0.000 0.000
K2 K 0.000 0.500 0.250
Sr1 Sr 0.000 0.000 0.500
```


Entry 4:
Starting from a crystal structure in the Materials Project, relaxed with GGA-PBE, the X-ray diffraction stick pattern of NdZr9O20 was simulated for Cu Kα, 1.54184 Å.

Most intense lines, 10° ≤ 2θ ≤ 90°, in order of rising 2θ:
- (2 0 1), d = 3.036 Å, rel. 100
- (1 2 2), d = 3.031 Å, rel. 33
- (2 2 0), d = 2.682 Å, rel. 13
- (1 0 3), d = 2.603 Å, rel. 19
- (3 2 3), d = 1.870 Å, rel. 24
- (1 4 1), d = 1.865 Å, rel. 24
- (2 -2 2), d = 1.842 Å, rel. 13
- (0 2 4), d = 1.839 Å, rel. 13
- (3 4 2), d = 1.607 Å, rel. 10
- (3 0 4), d = 1.575 Å, rel. 14
- (2 2 5), d = 1.573 Å, rel. 22
- (2 0 6), d = 1.301 Å, rel. 7

Structure:
```
data_NdZr9O20
_chemical_formula_sum 'Nd1 Zr9 O20'
_symmetry_space_group_name_H-M 'P 1'
_symmetry_Int_Tables_number 1
_cell_length_a 6.517
_cell_length_b 7.461
_cell_length_c 8.225
_cell_angle_alpha 77.31
_cell_angle_beta 75.36
_cell_angle_gamma 71.83
loop_
_symmetry_equiv_pos_as_xyz
'x,y,z'
loop_
_atom_site_label
_atom_site_type_symbol
_atom_site_fract_x
_atom_site_fract_y
_atom_site_fract_z
Nd1 Nd 0.000 0.000 0.000
Zr1 Zr 0.197 0.799 0.599
Zr2 Zr 0.206 0.301 0.599
Zr3 Zr 0.399 0.103 0.197
Zr4 Zr 0.406 0.601 0.199
Zr5 Zr 0.599 0.906 0.796
Zr6 Zr 0.605 0.409 0.794
Zr7 Zr 0.793 0.202 0.403
Zr8 Zr 0.804 0.697 0.399
Zr9 Zr 0.998 0.502 0.006
O1 O 0.022 0.199 0.173
O2 O 0.084 0.694 0.155
O3 O 0.112 0.580 0.474
O4 O 0.187 0.123 0.439
O5 O 0.248 0.975 0.742
O6 O 0.292 0.525 0.740
O7 O 0.322 0.380 0.057
O8 O 0.391 0.914 0.043
O9 O 0.411 0.778 0.365
O10 O 0.480 0.324 0.336
O11 O 0.523 0.182 0.650
O12 O 0.604 0.713 0.640
O13 O 0.618 0.576 0.962
O14 O 0.655 0.132 0.930
O15 O 0.711 0.979 0.267
O16 O 0.766 0.533 0.237
O17 O 0.822 0.378 0.555
O18 O 0.885 0.928 0.540
O19 O 0.917 0.774 0.857
O20 O 0.987 0.330 0.834
```


Entry 5:
Starting from a crystal structure in the Materials Project, relaxed with GGA-PBE, the X-ray diffraction stick pattern of Rb2Te2O2F7 was simulated for Cu Kα, 1.54184 Å.

Most intense lines, 10° ≤ 2θ ≤ 90°, in order of rising 2θ:
- (0 0 2), d = 6.257 Å, rel. 14
- (0 2 1), d = 5.778 Å, rel. 30
- (1 2 -2), d = 3.712 Å, rel. 100
- (1 2 2), d = 3.507 Å, rel. 75
- (0 4 0), d = 3.257 Å, rel. 23
- (0 0 4), d = 3.128 Å, rel. 29
- (2 0 0), d = 2.997 Å, rel. 26
- (1 1 4), d = 2.629 Å, rel. 12
- (0 1 5), d = 2.455 Å, rel. 12
- (2 0 -4), d = 2.258 Å, rel. 12
- (2 4 0), d = 2.205 Å, rel. 21
- (3 2 -2), d = 1.869 Å, rel. 18

Structure:
```
data_Rb2Te2O2F7
_chemical_formula_sum 'Rb8 Te8 O8 F28'
_symmetry_space_group_name_H-M 'P 1 21 1'
_symmetry_Int_Tables_number 4
_cell_length_a 6.015
_cell_length_b 13.027
_cell_length_c 12.555
_cell_angle_alpha 90.00
_cell_angle_beta 94.71
_cell_angle_gamma 90.00
loop_
_symmetry_equiv_pos_as_xyz
'x,y,z'
'-x,y+1/2,-z'
loop_
_atom_site_label
_atom_site_type_symbol
_atom_site_fract_x
_atom_site_fract_y
_atom_site_fract_z
Rb1 Rb 0.230 0.000 0.125
Rb2 Rb 0.248 0.578 0.116
Rb3 Rb 0.255 0.764 0.383
Rb4 Rb 0.264 0.344 0.374
Te1 Te 0.228 0.055 0.562
Te2 Te 0.233 0.551 0.633
Te3 Te 0.270 0.791 0.865
Te4 Te 0.271 0.290 0.939
O1 O 0.058 0.052 0.690
O2 O 0.115 0.549 0.487
O3 O 0.387 0.787 0.012
O4 O 0.434 0.286 0.811
F1 F 0.009 0.285 0.826
F2 F 0.017 0.667 0.658
F3 F 0.030 0.958 0.342
F4 F 0.052 0.685 0.913
F5 F 0.074 0.906 0.919
F6 F 0.208 0.211 0.572
F7 F 0.241 0.897 0.583
F8 F 0.276 0.134 0.931
F9 F 0.279 0.448 0.917
F10 F 0.434 0.437 0.583
F11 F 0.443 0.661 0.580
F12 F 0.458 0.382 0.158
F13 F 0.476 0.671 0.839
F14 F 0.492 0.063 0.675
```


Entry 6:
Starting from a crystal structure in the Materials Project, relaxed with GGA-PBE, the X-ray diffraction stick pattern of Zr7As4 was simulated for Cu Kα, 1.54184 Å.

Most intense lines, 10° ≤ 2θ ≤ 90°, in order of rising 2θ:
- (3 1 1), d = 2.895 Å, rel. 26
- (3 1 -3), d = 2.771 Å, rel. 58
- (1 1 -4), d = 2.648 Å, rel. 100
- (1 1 4), d = 2.499 Å, rel. 81
- (6 0 -4), d = 2.461 Å, rel. 65
- (5 1 -2), d = 2.439 Å, rel. 54
- (0 0 6), d = 2.431 Å, rel. 29
- (3 1 3), d = 2.424 Å, rel. 80
- (5 1 0), d = 2.415 Å, rel. 77
- (4 0 4), d = 2.395 Å, rel. 26
- (3 1 -5), d = 2.282 Å, rel. 42
- (0 2 0), d = 1.862 Å, rel. 67

Structure:
```
data_Zr7As4
_chemical_formula_sum 'Zr28 As16'
_symmetry_space_group_name_H-M 'C 1 2/m 1'
_symmetry_Int_Tables_number 12
_cell_length_a 16.412
_cell_length_b 3.723
_cell_length_c 15.094
_cell_angle_alpha 90.00
_cell_angle_beta 104.88
_cell_angle_gamma 90.00
loop_
_symmetry_equiv_pos_as_xyz
'x,y,z'
'-x,-y,-z'
'-x,y,-z'
'x,-y,z'
'x+1/2,y+1/2,z'
'-x+1/2,-y+1/2,-z'
'-x+1/2,y+1/2,-z'
'x+1/2,-y+1/2,z'
loop_
_atom_site_label
_atom_site_type_symbol
_atom_site_fract_x
_atom_site_fract_y
_atom_site_fract_z
Zr1 Zr 0.000 0.000 0.000
Zr2 Zr 0.000 0.500 0.500
Zr3 Zr 0.003 0.000 0.663
Zr4 Zr 0.069 0.500 0.169
Zr5 Zr 0.161 0.500 0.969
Zr6 Zr 0.179 0.000 0.543
Zr7 Zr 0.196 0.000 0.309
Zr8 Zr 0.206 0.000 0.796
As1 As 0.063 0.000 0.850
As2 As 0.126 0.500 0.398
As3 As 0.130 0.500 0.660
As4 As 0.176 0.000 0.111
```


Entry 7:
Starting from a crystal structure in the Materials Project, relaxed with GGA-PBE, the X-ray diffraction stick pattern of Sr3Ta6Si4O26 was simulated for Cu Kα, 1.54184 Å.

Most intense lines, 10° ≤ 2θ ≤ 90°, in order of rising 2θ:
- (1 0 0), d = 7.825 Å, rel. 47
- (1 1 0), d = 4.518 Å, rel. 59
- (2 0 0), d = 3.907 Å, rel. 26
- (0 0 2), d = 3.871 Å, rel. 40
- (1 0 2), d = 3.470 Å, rel. 26
- (2 1 0), d = 2.957 Å, rel. 100
- (1 1 2), d = 2.939 Å, rel. 66
- (2 0 2), d = 2.752 Å, rel. 25
- (2 1 2), d = 2.350 Å, rel. 42
- (4 0 2), d = 1.746 Å, rel. 27
- (3 2 2), d = 1.629 Å, rel. 23
- (2 1 4), d = 1.619 Å, rel. 35

Structure:
```
data_Sr3Ta6Si4O26
_chemical_formula_sum 'Sr3 Ta6 Si4 O26'
_symmetry_space_group_name_H-M 'P -6 2 m'
_symmetry_Int_Tables_number 189
_symmetry_space_group_name_Hall 'P -6 -2'
_cell_length_a 9.0351
_cell_length_b 9.0351
_cell_length_c 7.7419
_cell_angle_alpha 90.00
_cell_angle_beta 90.00
_cell_angle_gamma 120.00
loop_
_atom_site_label
_atom_site_type_symbol
_atom_site_fract_x
_atom_site_fract_y
_atom_site_fract_z
Sr1 Sr 0.0000 0.5970 0.0000
Ta1 Ta 0.0000 0.2385 0.2540
Si1 Si 0.3333 0.6667 0.2907
O1 O 0.0000 0.2214 0.0000
O2 O 0.0000 0.2793 0.5000
O3 O 0.0000 0.8146 0.2654
O4 O 0.1770 0.4911 0.2088
O5 O 0.3333 0.6667 0.5000
```


Entry 8:
Starting from a crystal structure in the Materials Project, relaxed with GGA-PBE, the X-ray diffraction stick pattern of TiNb4S8 was simulated for Cu Kα, 1.54184 Å.

Most intense lines, 10° ≤ 2θ ≤ 90°, in order of rising 2θ:
- (0 0 2), d = 6.197 Å, rel. 91
- (2 0 0), d = 2.902 Å, rel. 35
- (2 0 1), d = 2.825 Å, rel. 19
- (2 0 2), d = 2.628 Å, rel. 71
- (2 0 3), d = 2.374 Å, rel. 13
- (2 0 4), d = 2.118 Å, rel. 100
- (2 0 6), d = 1.683 Å, rel. 16
- (2 2 0), d = 1.675 Å, rel. 35
- (2 2 2), d = 1.617 Å, rel. 14
- (4 0 2), d = 1.413 Å, rel. 10
- (4 0 4), d = 1.314 Å, rel. 20
- (2 2 8), d = 1.137 Å, rel. 19

Structure:
```
data_TiNb4S8
_chemical_formula_sum 'Ti2 Nb8 S16'
_symmetry_space_group_name_H-M 'P 63/m m c'
_symmetry_Int_Tables_number 194
_symmetry_space_group_name_Hall '-P 6c 2c'
_cell_length_a 6.7011
_cell_length_b 6.7011
_cell_length_c 12.3934
_cell_angle_alpha 90.00
_cell_angle_beta 90.00
_cell_angle_gamma 120.00
loop_
_atom_site_label
_atom_site_type_symbol
_atom_site_fract_x
_atom_site_fract_y
_atom_site_fract_z
Ti1 Ti 0.0000 0.0000 0.0000
Nb1 Nb 0.0000 0.0000 0.2500
Nb2 Nb 0.0098 0.5049 0.2500
S1 S 0.1668 0.3336 0.6217
S2 S 0.3333 0.6667 0.1214
```